Simulated PXRD pattern
Compound: La2Ho3ErSe6
Radiation: Cu Kα (λ = 1.5418 Å)
Structure: DFT lattice parameters and positions (PBE)

Largest 12 diffraction maxima, low angle first, 2θ from 5° to 70°:
| 2θ/deg | intensity | hkl |
| --- | --- | --- |
| 26.07 | 5 | 4 0 -2 |
| 26.31 | 5 | 2 0 2 |
| 26.54 | 10 | 3 1 0 |
| 30.54 | 100 | 1 1 -2 |
| 43.25 | 13 | 2 0 -4 |
| 43.60 | 25 | 7 1 -2 |
| 43.90 | 24 | 5 1 2 |
| 44.16 | 12 | 0 2 0 |
| 53.63 | 7 | 8 0 -4 |
| 54.15 | 6 | 4 0 4 |
| 54.67 | 13 | 6 2 0 |
| 63.52 | 8 | 2 2 -4 |

Cell and atoms:
Unit cell a=18.0706 b=4.1020 c=8.3686 alpha=90.00 beta=103.92 gamma=90.00
Space group C2/m (No. 12)
Symmetry-distinct sites (fractional):
La 0.1670 0.0000 0.3344 x4
Ho 0.0000 0.5000 0.5000 x2
Ho 0.1704 0.0000 0.8341 x4
Er 0.0000 0.5000 0.0000 x2
Se 0.0060 0.0000 0.7546 x4
Se 0.1616 0.5000 0.5949 x4
Se 0.1642 0.5000 0.0681 x4

Simulated PXRD pattern
Compound: LaHoEr2Se6
Radiation: Cu Kα (λ = 1.5418 Å)
Structure: DFT lattice parameters and positions (PBE)

Largest 12 diffraction maxima, low angle first, 2θ from 5° to 70°:
| 2θ/deg | intensity | hkl |
| --- | --- | --- |
| 16.77 | 45 | 0 1 2 |
| 23.15 | 63 | 1 0 4 |
| 24.45 | 44 | 1 1 0 |
| 28.13 | 61 | 2 -1 3 |
| 33.92 | 45 | 0 2 4 |
| 37.21 | 100 | 2 -1 6 |
| 42.26 | 39 | 3 -1 4 |
| 43.03 | 65 | 3 0 0 |
| 49.16 | 33 | 1 0 10 |
| 58.17 | 25 | 2 2 6 |
| 61.67 | 15 | 2 1 10 |
| 67.58 | 14 | 5 -2 4 |

Cell and atoms:
Unit cell a=7.2810 b=7.2810 c=19.3864 alpha=90.00 beta=90.00 gamma=120.00
Space group R3 (No. 146, hexagonal axes)
Symmetry-distinct sites (fractional):
La 0.0000 0.0000 0.0000 x3
Ho 0.0000 0.0000 0.4915 x3
Er 0.0000 0.0000 0.2935 x3
Er 0.0000 0.0000 0.7983 x3
Se 0.0055 0.3111 0.8914 x9
Se 0.0230 0.6353 0.0584 x9

Simulated PXRD pattern
Compound: LaSm4HoEr2
Radiation: Cu Kα (λ = 1.5418 Å)
Structure: DFT lattice parameters and positions (PBE)

Largest 12 diffraction maxima, low angle first, 2θ from 5° to 70°:
| 2θ/deg | intensity | hkl |
| --- | --- | --- |
| 30.39 | 100 | 1 1 1 |
| 30.49 | 33 | 2 0 -2 |
| 35.20 | 45 | 1 1 -3 |
| 35.39 | 22 | 2 0 2 |
| 50.54 | 8 | 0 2 0 |
| 50.77 | 40 | 3 1 -1 |
| 60.16 | 19 | 2 2 -2 |
| 60.29 | 19 | 3 1 -5 |
| 60.45 | 14 | 3 1 3 |
| 60.55 | 5 | 4 0 0 |
| 63.21 | 8 | 2 2 2 |
| 63.45 | 4 | 4 0 -4 |

Cell and atoms:
Unit cell a=6.2137 b=3.6119 c=11.9384 alpha=90.00 beta=100.12 gamma=90.00
Space group P2/m (No. 10)
Symmetry-distinct sites (fractional):
La 0.0000 0.0000 0.0000 x1
Sm 0.2508 0.0000 0.7479 x2
Sm 0.2507 0.5000 0.2548 x2
Ho 0.0000 0.5000 0.5000 x1
Er 0.5000 0.0000 0.5000 x1
Er 0.5000 0.5000 0.0000 x1

Simulated PXRD pattern
Compound: LaSm6Ho2Er3
Radiation: Cu Kα (λ = 1.5418 Å)
Structure: DFT lattice parameters and positions (PBE)

Largest 10 diffraction maxima, low angle first, 2θ from 5° to 70°:
| 2θ/deg | intensity | hkl |
| --- | --- | --- |
| 7.56 | 1 | 0 0 1 |
| 30.46 | 100 | 1 3 1 |
| 30.57 | 33 | 0 0 4 |
| 35.35 | 67 | 2 0 2 |
| 50.79 | 24 | 0 6 0 |
| 50.93 | 24 | 1 3 5 |
| 60.43 | 43 | 4 0 0 |
| 60.58 | 14 | 2 0 6 |
| 63.40 | 12 | 2 6 2 |
| 63.64 | 4 | 0 0 8 |

Cell and atoms:
Unit cell a=6.2278 b=10.7853 c=11.8794 alpha=90.00 beta=100.05 gamma=90.00
Space group C2/m (No. 12)
Symmetry-distinct sites (fractional):
La 0.0000 0.0000 0.0000 x2
Sm 0.2479 0.3327 0.7469 x8
Sm 0.2498 0.0000 0.7466 x4
Ho 0.0000 0.3335 0.0000 x4
Er 0.0000 0.1672 0.5000 x4
Er 0.0000 0.5000 0.5000 x2

Simulated PXRD pattern
Compound: La6SmHoEr2
Radiation: Cu Kα (λ = 1.5418 Å)
Structure: DFT lattice parameters and positions (PBE)

Largest 12 diffraction maxima, low angle first, 2θ from 5° to 70°:
| 2θ/deg | intensity | hkl |
| --- | --- | --- |
| 27.15 | 40 | 2 2 -2 |
| 28.01 | 65 | 1 3 2 |
| 29.63 | 82 | 3 1 -1 |
| 29.91 | 76 | 0 2 3 |
| 30.20 | 23 | 2 4 0 |
| 30.59 | 61 | 1 5 0 |
| 30.74 | 68 | 2 4 -1 |
| 30.86 | 100 | 2 2 2 |
| 31.55 | 37 | 1 5 -1 |
| 32.90 | 60 | 1 3 -3 |
| 33.41 | 22 | 2 2 -3 |
| 37.26 | 32 | 1 1 -4 |

Cell and atoms:
Unit cell a=9.3558 b=15.3990 c=9.8313 alpha=90.00 beta=98.53 gamma=90.00
Space group C2/c (No. 15)
Symmetry-distinct sites (fractional):
La 0.0670 0.1755 0.4479 x8
La 0.0970 0.3942 0.6202 x8
La 0.2173 0.2211 0.8074 x8
Sm 0.0000 0.0251 0.7500 x4
Ho 0.0000 0.4111 0.2500 x4
Er 0.2450 0.0470 0.0465 x8

Simulated PXRD pattern
Compound: LaSm2Ho4Er
Radiation: Cu Kα (λ = 1.5418 Å)
Structure: DFT lattice parameters and positions (PBE)

Largest 12 diffraction maxima, low angle first, 2θ from 5° to 70°:
| 2θ/deg | intensity | hkl |
| --- | --- | --- |
| 29.77 | 47 | 2 -2 1 |
| 30.97 | 35 | 0 0 4 |
| 32.72 | 100 | 0 2 2 |
| 37.18 | 26 | -2 2 3 |
| 49.14 | 12 | -2 2 5 |
| 50.79 | 9 | 2 2 0 |
| 50.95 | 18 | 4 -2 0 |
| 56.21 | 22 | 0 2 6 |
| 60.68 | 10 | 2 2 4 |
| 60.82 | 21 | 4 -2 4 |
| 61.77 | 11 | 4 0 2 |
| 64.57 | 7 | 0 0 8 |

Cell and atoms:
Unit cell a=7.1677 b=7.1720 c=11.5505 alpha=90.00 beta=90.03 gamma=119.81
Space group P-1 (No. 2)
Symmetry-distinct sites (fractional):
La 0.0000 0.0000 0.0000 x1
La 0.5000 0.5000 0.0000 x1
Sm 0.0000 0.0000 0.5000 x1
Sm 0.0000 0.5000 0.5000 x1
Sm 0.5000 0.0000 0.0000 x1
Sm 0.5000 0.0000 0.5000 x1
Ho 0.1670 0.3327 0.7486 x2
Ho 0.1667 0.8327 0.7484 x2
Ho 0.3331 0.1678 0.2515 x2
Ho 0.3334 0.6673 0.2514 x2
Er 0.0000 0.5000 0.0000 x1
Er 0.5000 0.5000 0.5000 x1

Simulated PXRD pattern
Compound: La5Tb2HoEr
Radiation: Cu Kα (λ = 1.5418 Å)
Structure: DFT lattice parameters and positions (PBE)

Largest 12 diffraction maxima, low angle first, 2θ from 5° to 70°:
| 2θ/deg | intensity | hkl |
| --- | --- | --- |
| 28.13 | 44 | 2 1 3 |
| 28.56 | 100 | 2 0 4 |
| 31.18 | 38 | 2 2 0 |
| 33.65 | 16 | 2 1 5 |
| 34.97 | 10 | 3 1 0 |
| 35.26 | 11 | 2 0 6 |
| 36.19 | 11 | 3 1 2 |
| 36.66 | 24 | 0 0 8 |
| 40.34 | 10 | 3 2 1 |
| 45.67 | 10 | 4 0 2 |
| 48.87 | 19 | 2 2 8 |
| 53.88 | 24 | 4 2 4 |

Cell and atoms:
Unit cell a=8.1139 b=8.1139 c=19.6111 alpha=90.00 beta=90.00 gamma=90.00
Space group I4/mcm (No. 140)
Symmetry-distinct sites (fractional):
La 0.0000 0.0000 0.0000 x4
La 0.2138 0.2862 0.1358 x16
Tb 0.1287 0.3713 0.5000 x8
Ho 0.0000 0.0000 0.2500 x4
Er 0.0000 0.5000 0.2500 x4

Simulated PXRD pattern
Compound: LaTb2Ho4Er
Radiation: Cu Kα (λ = 1.5418 Å)
Structure: DFT lattice parameters and positions (PBE)

Largest 8 diffraction maxima, low angle first, 2θ from 5° to 70°:
| 2θ/deg | intensity | hkl |
| --- | --- | --- |
| 30.79 | 100 | 4 0 0 |
| 35.66 | 34 | 2 2 2 |
| 35.77 | 17 | 4 0 -4 |
| 51.32 | 12 | 0 4 0 |
| 51.40 | 24 | 6 2 -2 |
| 61.05 | 29 | 4 4 0 |
| 61.19 | 14 | 8 0 -4 |
| 64.13 | 12 | 8 0 0 |

Cell and atoms:
Unit cell a=12.3050 b=7.1272 c=12.3090 alpha=90.00 beta=109.37 gamma=90.00
Space group C2/m (No. 12)
Symmetry-distinct sites (fractional):
La 0.2500 0.2500 0.0000 x4
Tb 0.0000 0.0000 0.0000 x2
Tb 0.0000 0.0000 0.5000 x2
Tb 0.2500 0.2500 0.5000 x4
Ho 0.0013 0.2505 0.2522 x8
Ho 0.2488 0.0000 0.7464 x4
Ho 0.2487 0.5000 0.7462 x4
Er 0.0000 0.5000 0.0000 x2
Er 0.0000 0.5000 0.5000 x2

Simulated PXRD pattern
Compound: La4Tb2HoEr
Radiation: Cu Kα (λ = 1.5418 Å)
Structure: DFT lattice parameters and positions (PBE)

Largest 12 diffraction maxima, low angle first, 2θ from 5° to 70°:
| 2θ/deg | intensity | hkl |
| --- | --- | --- |
| 24.03 | 1 | 1 1 0 |
| 30.08 | 100 | 1 1 2 |
| 34.13 | 18 | 0 2 0 |
| 34.35 | 18 | 2 0 0 |
| 36.13 | 15 | 0 0 4 |
| 49.20 | 13 | 2 2 0 |
| 50.54 | 12 | 0 2 4 |
| 50.70 | 12 | 2 0 4 |
| 58.61 | 15 | 1 3 2 |
| 58.90 | 15 | 3 1 2 |
| 61.27 | 13 | 1 1 6 |
| 62.54 | 12 | 2 2 4 |

Cell and atoms:
Unit cell a=5.2217 b=5.2548 c=9.9453 alpha=90.00 beta=90.00 gamma=90.00
Space group Pmmm (No. 47)
Symmetry-distinct sites (fractional):
La 0.0000 0.0000 0.2496 x2
La 0.5000 0.5000 0.2498 x2
Tb 0.0000 0.5000 0.0000 x1
Tb 0.5000 0.0000 0.5000 x1
Ho 0.0000 0.5000 0.5000 x1
Er 0.5000 0.0000 0.0000 x1

Simulated PXRD pattern
Compound: La2TbHoEr4
Radiation: Cu Kα (λ = 1.5418 Å)
Structure: DFT lattice parameters and positions (PBE)

Largest 10 diffraction maxima, low angle first, 2θ from 5° to 70°:
| 2θ/deg | intensity | hkl |
| --- | --- | --- |
| 30.60 | 100 | 2 2 0 |
| 35.22 | 34 | 2 0 2 |
| 35.99 | 16 | 0 4 0 |
| 50.60 | 6 | 0 0 4 |
| 50.71 | 6 | 4 0 0 |
| 51.24 | 24 | 2 4 2 |
| 60.33 | 22 | 2 2 4 |
| 60.42 | 7 | 4 2 2 |
| 61.38 | 14 | 2 6 0 |
| 63.70 | 12 | 4 4 0 |

Cell and atoms:
Unit cell a=7.2005 b=9.9817 c=7.2151 alpha=90.00 beta=90.07 gamma=90.00
Space group Pm (No. 6)
Symmetry-distinct sites (fractional):
La 0.0000 0.0000 0.0000 x1
La 0.9999 0.5000 0.4996 x1
La 0.4992 0.0000 0.4995 x1
La 0.9990 0.0000 0.4998 x1
Tb 0.4999 0.0000 0.9996 x1
Tb 0.4998 0.5000 0.4998 x1
Ho 0.4995 0.5000 0.9997 x1
Ho 0.9994 0.5000 0.9995 x1
Er 0.2526 0.2540 0.2462 x2
Er 0.2531 0.2541 0.7533 x2
Er 0.7463 0.2540 0.2460 x2
Er 0.7466 0.2541 0.7533 x2

Simulated PXRD pattern
Compound: La2HoEr5Th
Radiation: Cu Kα (λ = 1.5418 Å)
Structure: DFT lattice parameters and positions (PBE)

Largest 12 diffraction maxima, low angle first, 2θ from 5° to 70°:
| 2θ/deg | intensity | hkl |
| --- | --- | --- |
| 28.45 | 15 | 0 6 1 |
| 29.61 | 29 | 1 1 3 |
| 31.92 | 39 | 2 0 0 |
| 32.29 | 100 | 1 5 2 |
| 32.81 | 13 | 0 0 4 |
| 36.91 | 6 | 1 1 4 |
| 43.28 | 9 | 2 6 1 |
| 46.43 | 10 | 2 0 4 |
| 50.21 | 9 | 0 6 5 |
| 57.13 | 20 | 3 5 2 |
| 59.99 | 11 | 1 11 3 |
| 60.74 | 11 | 2 6 5 |

Cell and atoms:
Unit cell a=5.6060 b=19.6545 c=10.9190 alpha=90.00 beta=90.00 gamma=90.00
Space group Cmc2_1 (No. 36)
Symmetry-distinct sites (fractional):
La 0.0000 0.1151 0.0000 x4
La 0.0000 0.1158 0.5808 x4
Ho 0.0000 0.2019 0.2740 x4
Er 0.0000 0.0143 0.2931 x4
Er 0.0000 0.2817 0.5750 x4
Er 0.0000 0.2992 0.9746 x4
Er 0.0000 0.3912 0.2852 x4
Er 0.0000 0.4815 0.0025 x4
Th 0.0000 0.4177 0.7283 x4

Simulated PXRD pattern
Compound: LaHo4Er2Th
Radiation: Cu Kα (λ = 1.5418 Å)
Structure: DFT lattice parameters and positions (PBE)

Largest 12 diffraction maxima, low angle first, 2θ from 5° to 70°:
| 2θ/deg | intensity | hkl |
| --- | --- | --- |
| 8.84 | 3 | 0 0 1 |
| 30.73 | 100 | 1 1 2 |
| 35.43 | 17 | 0 2 0 |
| 35.58 | 17 | 2 0 0 |
| 35.90 | 16 | 0 0 4 |
| 51.09 | 12 | 2 2 0 |
| 51.33 | 12 | 0 2 4 |
| 51.44 | 12 | 2 0 4 |
| 60.71 | 15 | 1 3 2 |
| 60.91 | 14 | 3 1 2 |
| 61.34 | 14 | 1 1 6 |
| 64.01 | 12 | 2 2 4 |

Cell and atoms:
Unit cell a=5.0468 b=5.0671 c=10.0062 alpha=90.00 beta=90.00 gamma=90.00
Space group Pmmm (No. 47)
Symmetry-distinct sites (fractional):
La 0.0000 0.0000 0.0000 x1
Ho 0.0000 0.5000 0.2558 x2
Ho 0.5000 0.0000 0.2566 x2
Er 0.0000 0.0000 0.5000 x1
Er 0.5000 0.5000 0.0000 x1
Th 0.5000 0.5000 0.5000 x1

Simulated PXRD pattern
Compound: LaHo2ErTh
Radiation: Cu Kα (λ = 1.5418 Å)
Structure: DFT lattice parameters and positions (PBE)

Largest 12 diffraction maxima, low angle first, 2θ from 5° to 70°:
| 2θ/deg | intensity | hkl |
| --- | --- | --- |
| 15.69 | 13 | 0 1 0 |
| 20.40 | 12 | 0 0 2 |
| 25.84 | 11 | 0 1 2 |
| 30.81 | 11 | 0 0 3 |
| 31.68 | 100 | 0 2 0 |
| 32.73 | 15 | 1 0 -2 |
| 34.75 | 20 | 0 1 3 |
| 36.49 | 17 | 1 1 -2 |
| 46.19 | 12 | 1 2 -2 |
| 51.99 | 10 | 2 0 0 |
| 56.42 | 16 | 1 3 1 |
| 61.66 | 18 | 1 1 -5 |

Cell and atoms:
Unit cell a=3.5178 b=5.6493 c=8.7066 alpha=90.00 beta=90.07 gamma=90.00
Space group P2/m (No. 10)
Symmetry-distinct sites (fractional):
La 0.0000 0.0000 0.0000 x1
Ho 0.0015 0.5000 0.3221 x2
Er 0.5000 0.0000 0.5000 x1
Th 0.5000 0.5000 0.0000 x1